[1]
The following is a simulated powder XRD pattern of Pm5SmIn3. It was derived from a crystal structure in Alexandria, relaxed with GGA-PBE, using CuKα.

```
data_Pm5SmIn3
_chemical_formula_sum 'Pm10 Sm2 In6'
_symmetry_space_group_name_H-M 'P 1'
_symmetry_Int_Tables_number 1
_cell_length_a 9.5726
_cell_length_b 9.5726
_cell_length_c 6.8902
_cell_angle_alpha 90.00
_cell_angle_beta 90.00
_cell_angle_gamma 120.00
loop_
_symmetry_equiv_pos_as_xyz
'x,y,z'
loop_
_atom_site_label
_atom_site_fract_x
_atom_site_fract_y
_atom_site_fract_z
Pm1 0.0000 0.3337 0.2500
Pm2 0.0000 0.6663 0.7500
Pm3 0.3333 0.6667 0.0000
Pm4 0.3333 0.6667 0.5000
Pm5 0.3337 0.0000 0.2500
Pm6 0.3337 0.3337 0.7500
Pm7 0.6663 0.0000 0.7500
Pm8 0.6663 0.6663 0.2500
Pm9 0.6667 0.3333 0.0000
Pm10 0.6667 0.3333 0.5000
Sm1 0.0000 0.0000 0.0000
Sm2 0.0000 0.0000 0.5000
In1 0.0000 0.3324 0.7500
In2 0.0000 0.6676 0.2500
In3 0.3324 0.0000 0.7500
In4 0.3324 0.3324 0.2500
In5 0.6676 0.0000 0.2500
In6 0.6676 0.6676 0.7500
```

Most intense lines, 2θ from 10° to 90°, in order of rising 2θ:
two_theta, d_spacing, intensity
32.01, 2.796, 95
32.40, 2.763, 100
46.19, 1.965, 34
53.17, 1.723, 8
57.54, 1.602, 36
57.79, 1.595, 19
63.66, 1.462, 28
67.83, 1.382, 12
76.98, 1.239, 15
82.39, 1.171, 14

[2]
The following is a simulated powder XRD pattern of Pm8Sm3In2. It was derived from a crystal structure in Alexandria, relaxed with GGA-PBE, using CuKα.

```
data_Pm8Sm3In2
_chemical_formula_sum 'Pm8 Sm3 In2'
_symmetry_space_group_name_H-M 'P 1'
_symmetry_Int_Tables_number 1
_cell_length_a 6.1588
_cell_length_b 7.9840
_cell_length_c 9.4082
_cell_angle_alpha 94.56
_cell_angle_beta 108.80
_cell_angle_gamma 104.69
loop_
_symmetry_equiv_pos_as_xyz
'x,y,z'
loop_
_atom_site_label
_atom_site_fract_x
_atom_site_fract_y
_atom_site_fract_z
Pm1 0.0469 0.0765 0.2072
Pm2 0.2867 0.5467 0.3512
Pm3 0.3428 0.6871 0.7313
Pm4 0.4233 0.8427 0.1105
Pm5 0.5767 0.1573 0.8895
Pm6 0.6572 0.3129 0.2687
Pm7 0.7133 0.4533 0.6488
Pm8 0.9531 0.9235 0.7928
Sm1 0.1782 0.3757 0.9524
Sm2 0.5000 0.0000 0.5000
Sm3 0.8218 0.6243 0.0476
In1 0.1124 0.2369 0.5763
In2 0.8876 0.7631 0.4237
```

Most intense lines, 2θ from 10° to 90°, in order of rising 2θ:
two_theta, d_spacing, intensity
30.64, 2.918, 100
30.77, 2.906, 99
35.36, 2.538, 34
35.66, 2.518, 34
35.78, 2.510, 33
51.19, 1.785, 23
51.41, 1.777, 23
60.49, 1.530, 14
60.88, 1.522, 14
61.13, 1.516, 34

[3]
The following is a simulated powder XRD pattern of Pm2Sm6In3. It was derived from a crystal structure in Alexandria, relaxed with GGA-PBE, using CuKα.

```
data_Pm2Sm6In3
_chemical_formula_sum 'Pm2 Sm6 In3'
_symmetry_space_group_name_H-M 'P 1'
_symmetry_Int_Tables_number 1
_cell_length_a 17.3619
_cell_length_b 17.3619
_cell_length_c 17.3619
_cell_angle_alpha 164.76
_cell_angle_beta 164.76
_cell_angle_gamma 21.62
loop_
_symmetry_equiv_pos_as_xyz
'x,y,z'
loop_
_atom_site_label
_atom_site_fract_x
_atom_site_fract_y
_atom_site_fract_z
Pm1 0.0433 0.0433 0.0000
Pm2 0.9567 0.9567 0.0000
Sm1 0.1269 0.6269 0.5000
Sm2 0.2133 0.2133 0.0000
Sm3 0.3731 0.8731 0.5000
Sm4 0.6269 0.1269 0.5000
Sm5 0.7867 0.7867 0.0000
Sm6 0.8731 0.3731 0.5000
In1 0.3067 0.3067 0.0000
In2 0.5000 0.5000 0.0000
In3 0.6933 0.6933 0.0000
```

Most intense lines, 2θ from 10° to 90°, in order of rising 2θ:
two_theta, d_spacing, intensity
26.63, 3.347, 16
29.36, 3.043, 100
31.48, 2.842, 24
34.66, 2.588, 51
34.88, 2.572, 31
39.11, 2.303, 48
51.04, 1.789, 25
53.40, 1.716, 18
56.51, 1.628, 16
64.95, 1.436, 22

[4]
The following is a simulated powder XRD pattern of Pm2Sm6In. It was derived from a crystal structure in Alexandria, relaxed with GGA-PBE, using CuKα.

```
data_Pm2Sm6In
_chemical_formula_sum 'Pm4 Sm12 In2'
_symmetry_space_group_name_H-M 'P 1'
_symmetry_Int_Tables_number 1
_cell_length_a 8.4295
_cell_length_b 8.6462
_cell_length_c 8.9496
_cell_angle_alpha 70.28
_cell_angle_beta 87.64
_cell_angle_gamma 74.57
loop_
_symmetry_equiv_pos_as_xyz
'x,y,z'
loop_
_atom_site_label
_atom_site_fract_x
_atom_site_fract_y
_atom_site_fract_z
Pm1 0.1147 0.1609 0.4902
Pm2 0.2704 0.5298 0.5259
Pm3 0.7296 0.4702 0.4741
Pm4 0.8853 0.8391 0.5098
Sm1 0.0044 0.6086 0.2009
Sm2 0.1590 0.7250 0.8276
Sm3 0.1814 0.9416 0.1961
Sm4 0.3899 0.0437 0.8294
Sm5 0.4550 0.5982 0.1446
Sm6 0.4721 0.8057 0.5673
Sm7 0.5279 0.1943 0.4327
Sm8 0.5450 0.4018 0.8554
Sm9 0.6101 0.9563 0.1706
Sm10 0.8186 0.0584 0.8039
Sm11 0.8410 0.2750 0.1724
Sm12 0.9956 0.3914 0.7991
In1 0.2628 0.3029 0.1071
In2 0.7372 0.6971 0.8929
```

Most intense lines, 2θ from 10° to 90°, in order of rising 2θ:
two_theta, d_spacing, intensity
30.15, 2.964, 32
31.16, 2.870, 34
31.45, 2.844, 100
31.91, 2.804, 35
32.24, 2.777, 47
32.73, 2.736, 17
33.07, 2.709, 18
46.72, 1.944, 13
55.52, 1.655, 13
56.99, 1.616, 15

[5]
The following is a simulated powder XRD pattern of Pm3SmIn. It was derived from a crystal structure in Alexandria, relaxed with GGA-PBE, using CuKα.

```
data_Pm3SmIn
_chemical_formula_sum 'Pm6 Sm2 In2'
_symmetry_space_group_name_H-M 'P 1'
_symmetry_Int_Tables_number 1
_cell_length_a 6.9034
_cell_length_b 6.9034
_cell_length_c 6.9034
_cell_angle_alpha 87.87
_cell_angle_beta 87.87
_cell_angle_gamma 87.87
loop_
_symmetry_equiv_pos_as_xyz
'x,y,z'
loop_
_atom_site_label
_atom_site_fract_x
_atom_site_fract_y
_atom_site_fract_z
Pm1 0.0833 0.4167 0.7500
Pm2 0.2500 0.9167 0.5833
Pm3 0.4167 0.7500 0.0833
Pm4 0.5833 0.2500 0.9167
Pm5 0.7500 0.0833 0.4167
Pm6 0.9167 0.5833 0.2500
Sm1 0.0000 0.0000 0.0000
Sm2 0.5000 0.5000 0.5000
In1 0.2500 0.2500 0.2500
In2 0.7500 0.7500 0.7500
```

Most intense lines, 2θ from 10° to 90°, in order of rising 2θ:
two_theta, d_spacing, intensity
28.53, 3.128, 81
30.80, 2.903, 16
32.37, 2.765, 100
36.19, 2.482, 11
40.95, 2.204, 15
43.69, 2.072, 25
55.41, 1.658, 25
55.53, 1.655, 14
57.74, 1.597, 19
67.77, 1.383, 12

[6]
The following is a simulated powder XRD pattern of Pm15SmIn4. It was derived from a crystal structure in Alexandria, relaxed with GGA-PBE, using CuKα.

```
data_Pm15SmIn4
_chemical_formula_sum 'Pm15 Sm1 In4'
_symmetry_space_group_name_H-M 'P 1'
_symmetry_Int_Tables_number 1
_cell_length_a 4.9622
_cell_length_b 4.9622
_cell_length_c 25.3360
_cell_angle_alpha 90.00
_cell_angle_beta 90.00
_cell_angle_gamma 90.00
loop_
_symmetry_equiv_pos_as_xyz
'x,y,z'
loop_
_atom_site_label
_atom_site_fract_x
_atom_site_fract_y
_atom_site_fract_z
Pm1 0.0000 0.0000 0.0000
Pm2 0.0000 0.0000 0.2055
Pm3 0.0000 0.0000 0.4016
Pm4 0.0000 0.0000 0.5984
Pm5 0.0000 0.0000 0.7945
Pm6 0.0000 0.5000 0.1061
Pm7 0.0000 0.5000 0.3034
Pm8 0.0000 0.5000 0.5000
Pm9 0.0000 0.5000 0.6966
Pm10 0.0000 0.5000 0.8939
Pm11 0.5000 0.0000 0.1061
Pm12 0.5000 0.0000 0.3034
Pm13 0.5000 0.0000 0.5000
Pm14 0.5000 0.0000 0.6966
Pm15 0.5000 0.0000 0.8939
Sm1 0.5000 0.5000 0.0000
In1 0.5000 0.5000 0.2059
In2 0.5000 0.5000 0.4020
In3 0.5000 0.5000 0.5980
In4 0.5000 0.5000 0.7941
```

Most intense lines, 2θ from 10° to 90°, in order of rising 2θ:
two_theta, d_spacing, intensity
31.00, 2.885, 100
35.43, 2.534, 17
36.20, 2.481, 34
51.56, 1.773, 23
52.13, 1.754, 12
60.87, 1.522, 13
61.90, 1.499, 27
64.61, 1.442, 12
84.22, 1.150, 10
87.56, 1.114, 6